Computed PXRD pattern
Compound: Mn3Cr2Co3O16
Radiation: Cu Kα, 1.54184 Å
Structure: a GGA+U-relaxed structure
Neutral-atom scattering factors, no anomalous dispersion.

Largest 10 diffraction maxima, by angle, 2θ = 10–90°:
- 20.04°, I 84, (0 0 2)
- 20.64°, I 100, (2 0 -1)
- 37.68°, I 35, (3 1 2)
- 37.93°, I 31, (2 2 -1)
- 38.01°, I 30, (2 2 1)
- 41.94°, I 24, (2 2 -2)
- 42.10°, I 23, (4 0 2)
- 48.08°, I 23, (2 2 -3)
- 48.25°, I 33, (4 0 3)
- 65.75°, I 28, (6 2 0)

Structure:
Cell: 9.8433 5.6752 8.8627 Å, 90.00 90.36 90.00°
Space group Cm (No. 8)
Symmetry-distinct sites (fractional):
Mn (0.0000, 0.0000, 0.0000) (multiplicity 2)
Mn (0.4167, 0.2499, 0.5006) (multiplicity 4)
Cr (0.1673, 0.0000, 0.7248) (multiplicity 2)
Cr (0.4990, 0.0000, 0.2243) (multiplicity 2)
Co (0.1647, 0.5000, 0.5022) (multiplicity 2)
Co (0.2487, 0.2479, 0.0034) (multiplicity 4)
O (0.0006, 0.5000, 0.6105) (multiplicity 2)
O (0.0743, 0.2798, 0.3761) (multiplicity 4)
O (0.0965, 0.2225, 0.8743) (multiplicity 4)
O (0.1655, 0.5000, 0.1061) (multiplicity 2)
O (0.1671, 0.0000, 0.1118) (multiplicity 2)
O (0.2493, 0.2498, 0.6097) (multiplicity 4)
O (0.3123, 0.0000, 0.8817) (multiplicity 2)
O (0.3301, 0.5000, 0.8948) (multiplicity 2)
O (0.3306, 0.5000, 0.3933) (multiplicity 2)
O (0.3524, 0.0000, 0.3729) (multiplicity 2)
O (0.4129, 0.2473, 0.1093) (multiplicity 4)
O (0.4985, 0.5000, 0.6134) (multiplicity 2)